Structure and simulated powder X-ray diffraction pattern of YHfCd (the GGA-PBE geometry in Alexandria; CuKα).

The 6 most intense peaks (10° ≤ 2θ ≤ 90°), by angle:
33.61 deg, intensity 1000, hkl 1 0 3
37.77 deg, intensity 368, hkl 1 1 0
41.39 deg, intensity 134, hkl 0 0 6
54.48 deg, intensity 126, hkl 2 0 0
57.27 deg, intensity 204, hkl 1 1 6
65.55 deg, intensity 281, hkl 2 1 3

Atomic structure:
Cell: 3.369 3.369 13.088 Å, 90.00 90.00 90.00°
Space group I4mm (No. 107)
Unique sites:
Y: 0.000 0.000 0.000 x2
Hf: 0.000 0.000 0.671 x2
Cd: 0.000 0.000 0.323 x2